The following is a theoretical X-ray powder pattern of TiTlPdSe3. It was derived from the GGA-PBE geometry in Alexandria, using Cu Kα (weighted mean of Kα1 and Kα2).
Lines closer than 0.1° are merged.

Principal peaks in the range 15° ≤ 2θ ≤ 90°, low angle first:
2theta, intensity, h k l
30.47, 82, 1 1 -2
32.73, 100, 2 1 -1
34.92, 40, 1 0 3
37.61, 58, 2 1 1
37.84, 41, 0 1 3
49.48, 49, 0 2 0

Cell lengths 8.1822, 3.6838, 10.0349 Å; angles 90.00, 111.51, 90.00 degrees
Positions (direct):
Ti  0.2034  0.2500  0.1664
Ti  0.7966  0.7500  0.8336
Tl  0.2402  0.7500  0.7213
Tl  0.7598  0.2500  0.2787
Pd  0.4150  0.7500  0.3845
Pd  0.5850  0.2500  0.6155
Se  0.0436  0.2500  0.8796
Se  0.2345  0.2500  0.4290
Se  0.4021  0.7500  0.1285
Se  0.5979  0.2500  0.8715
Se  0.7655  0.7500  0.5710
Se  0.9564  0.7500  0.1204